Theoretical powder diffractogram
Compound: CsLiCrH6
Radiation: Cu Ka
Structure: a DFT-relaxed cell (PBE, Alexandria)
Intensities are scaled so that the largest is 100.

Main lines, by intensity (2θ = 10–90°):
- 25.12°, intensity 100
- 26.68°, intensity 50
- 20.24°, intensity 40
- 43.93°, intensity 24
- 37.71°, intensity 22
- 48.73°, intensity 21
- 29.72°, intensity 21
- 36.22°, intensity 19
- 34.24°, intensity 15
- 50.04°, intensity 14

Atomic structure:
a = 6.012 Å, b = 4.797 Å, c = 4.797 Å
α = 66.17°, β = 90.00°, γ = 90.00°
Sites, in units of the cell vectors:
Cs 0.000 0.000 0.000
Li 0.500 0.675 0.675
Cr 0.500 0.315 0.315
H 0.318 0.034 0.497
H 0.318 0.497 0.034
H 0.330 0.471 0.471
H 0.670 0.471 0.471
H 0.682 0.034 0.497
H 0.682 0.497 0.034